1.
Simulated powder X-ray diffraction pattern
Compound: Zn5Cu4Si
Radiation: Cu Kα (λ = 1.5418 Å)
Structure: a structure optimized by DFT (GGA-PBE)
No peak broadening, texture or thermal motion is included.

Principal peaks in the range 2θ = 10–90°, in order of falling intensity:
Position (°2θ)	I_rel
44.2	100.0
43.8	71.9
46.0	46.6
41.3	46.3
47.3	35.2
44.4	26.9
31.1	24.4
68.1	21.9
83.6	18.9
65.9	15.2

Cell and atoms:
abc: 6.8079 6.8079 6.2066
angles: 116.48 116.48 33.68
Fractional positions:
Zn 0.0000 0.0000 0.0000
Zn 0.3139 0.3139 0.2550
Zn 0.3370 0.3370 0.8688
Zn 0.6630 0.6630 0.1312
Zn 0.6861 0.6861 0.7450
Cu 0.1715 0.1715 0.4314
Cu 0.4850 0.4850 0.7082
Cu 0.5150 0.5150 0.2918
Cu 0.8285 0.8285 0.5686
Si 0.0000 0.0000 0.5000



2.
Simulated powder X-ray diffraction pattern
Compound: Zr3Cu4Si6
Radiation: Cu Kα (λ = 1.5418 Å)
Structure: a structure optimized by DFT (GGA-PBE)
No peak broadening, texture or thermal motion is included.

Principal peaks in the range 2θ = 10–90°, in order of falling intensity:
Position (°2θ)	I_rel
39.1	100.0
48.8	33.5
25.7	25.1
37.4	21.2
84.6	19.5
38.1	15.5
63.5	12.8
12.5	10.2
71.5	10.2
63.0	8.8

Cell and atoms:
abc: 14.3995 14.3995 14.3995
angles: 165.10 165.10 21.13
Fractional positions:
Zr 0.0000 0.0000 0.0000
Zr 0.3251 0.3251 0.0000
Zr 0.6749 0.6749 0.0000
Cu 0.0904 0.5904 0.5000
Cu 0.4096 0.9096 0.5000
Cu 0.5904 0.0904 0.5000
Cu 0.9096 0.4096 0.5000
Si 0.1461 0.1461 0.0000
Si 0.2500 0.7500 0.5000
Si 0.4592 0.4592 0.0000
Si 0.5408 0.5408 0.0000
Si 0.7500 0.2500 0.5000
Si 0.8539 0.8539 0.0000